# 1
The following is a calculated X-ray diffraction stick pattern of Pu3Cd2Pt3. It was derived from a crystal structure in Alexandria, relaxed with PBE, using Cu Kα X-rays.
No peak broadening, texture or thermal motion is included.

Peak list (10 most intense, 10 to 90 degrees two-theta, sorted by position)
h k l, d/Å, two_theta, I (rel.)
1 1 0, 4.242, 20.9, 25
0 0 2, 2.886, 31.0, 36
2 1 1, 2.503, 35.9, 100
3 0 0, 2.449, 36.7, 68
1 1 2, 2.386, 37.7, 71
3 1 1, 1.922, 47.3, 24
3 0 2, 1.868, 48.8, 20
3 2 1, 1.618, 56.9, 19
2 1 3, 1.582, 58.3, 25
5 1 1, 1.287, 73.6, 18

Structural model:
```
data_Pu3Cd2Pt3
_cell_length_a 8.4849
_cell_length_b 8.4849
_cell_length_c 5.7729
_cell_angle_alpha 90.00
_cell_angle_beta 90.00
_cell_angle_gamma 120.00
_symmetry_space_group_name_H-M 'P 63/m c m'
_symmetry_Int_Tables_number 193
_symmetry_space_group_name_Hall '-P 6c 2'
loop_
_atom_site_label
_atom_site_type_symbol
_atom_site_fract_x
_atom_site_fract_y
_atom_site_fract_z
_atom_site_occupancy
Pu1 Pu 0.0000 0.2705 0.2500 1
Cd1 Cd 0.3333 0.6667 0.0000 1
Pt1 Pt 0.0000 0.3857 0.7500 1
```

---

# 2
The following is a calculated X-ray diffraction stick pattern of SmTm4Rh4. It was derived from a crystal structure in Alexandria, relaxed with PBE, using Cu Kα X-rays.
No peak broadening, texture or thermal motion is included.

Peak list (10 most intense, 10 to 90 degrees two-theta, sorted by position)
h k l, d/Å, two_theta, I (rel.)
1 1 0, 6.223, 14.2, 13
2 1 1, 3.211, 27.8, 26
1 3 0, 2.782, 32.2, 100
1 0 2, 2.647, 33.9, 36
1 2 2, 2.268, 39.7, 15
2 3 1, 2.234, 40.4, 14
3 0 2, 2.016, 45.0, 19
4 2 0, 1.967, 46.2, 46
3 2 2, 1.833, 49.7, 18
1 4 2, 1.692, 54.2, 13

Structural model:
```
data_SmTm4Rh4
_cell_length_a 8.800
_cell_length_b 8.800
_cell_length_c 5.551
_cell_angle_alpha 90.00
_cell_angle_beta 90.00
_cell_angle_gamma 90.00
_symmetry_space_group_name_H-M 'P 42/n'
_symmetry_Int_Tables_number 86
loop_
_symmetry_equiv_pos_as_xyz
'x,y,z'
'-x,-y,-z'
'-y,x+1/2,z+1/2'
'y,-x+1/2,-z+1/2'
'-x+1/2,-y+1/2,z'
'x+1/2,y+1/2,-z'
'y+1/2,-x,z+1/2'
'-y+1/2,x,-z+1/2'
loop_
_atom_site_label
_atom_site_type_symbol
_atom_site_fract_x
_atom_site_fract_y
_atom_site_fract_z
_atom_site_occupancy
Sm1 Sm 0.250 0.250 0.250 1
Tm1 Tm 0.076 0.658 0.162 1
Rh1 Rh 0.035 0.622 0.661 1
```

---

# 3
The following is a calculated X-ray diffraction stick pattern of CdB. It was derived from a crystal structure in Alexandria, relaxed with PBE, using Cu Kα X-rays.
No peak broadening, texture or thermal motion is included.

Peak list (10 most intense, 10 to 90 degrees two-theta, sorted by position)
h k l, d/Å, two_theta, I (rel.)
1 1 0, 4.653, 19.1, 16
0 0 1, 3.158, 28.3, 27
2 1 0, 2.943, 30.4, 100
1 0 1, 2.847, 31.4, 24
1 1 1, 2.613, 34.3, 33
2 1 1, 2.153, 42.0, 45
3 1 0, 2.081, 43.5, 24
2 2 1, 1.873, 48.6, 17
3 0 1, 1.801, 50.7, 17
3 1 1, 1.737, 52.7, 13

Structural model:
```
data_CdB
_cell_length_a 6.580
_cell_length_b 6.580
_cell_length_c 3.158
_cell_angle_alpha 90.00
_cell_angle_beta 90.00
_cell_angle_gamma 90.00
_symmetry_space_group_name_H-M 'P -4 21 m'
_symmetry_Int_Tables_number 113
_symmetry_space_group_name_Hall 'P -4 2ab'
loop_
_atom_site_label
_atom_site_type_symbol
_atom_site_fract_x
_atom_site_fract_y
_atom_site_fract_z
_atom_site_occupancy
Cd1 Cd 0.152 0.348 0.121 1
B1 B 0.000 0.000 0.248 1
```

---

# 4
The following is a calculated X-ray diffraction stick pattern of Nd12TlPd5. It was derived from a crystal structure in Alexandria, relaxed with PBE, using Cu Kα X-rays.
No peak broadening, texture or thermal motion is included.

Peak list (10 most intense, 10 to 90 degrees two-theta, sorted by position)
h k l, d/Å, two_theta, I (rel.)
3 1 0, 3.100, 28.8, 26
2 2 2, 2.932, 30.5, 100
2 1 3, 2.761, 32.4, 80
1 3 2, 2.734, 32.8, 90
2 3 1, 2.684, 33.4, 42
3 2 1, 2.651, 33.8, 35
4 0 0, 2.442, 36.8, 34
0 3 5, 1.800, 50.7, 24
2 5 3, 1.653, 55.6, 23
5 3 2, 1.611, 57.2, 40

Structural model:
```
data_Nd12TlPd5
_cell_length_a 9.769
_cell_length_b 10.112
_cell_length_c 10.644
_cell_angle_alpha 90.00
_cell_angle_beta 90.00
_cell_angle_gamma 90.00
_symmetry_space_group_name_H-M 'I m m m'
_symmetry_Int_Tables_number 71
_symmetry_space_group_name_Hall '-I 2 2'
loop_
_atom_site_label
_atom_site_type_symbol
_atom_site_fract_x
_atom_site_fract_y
_atom_site_fract_z
_atom_site_occupancy
Nd1 Nd 0.000 0.188 0.223 1
Nd2 Nd 0.198 0.500 0.174 1
Nd3 Nd 0.212 0.321 0.500 1
Tl1 Tl 0.000 0.000 0.500 1
Pd1 Pd 0.000 0.000 0.000 1
Pd2 Pd 0.000 0.354 0.000 1
Pd3 Pd 0.000 0.500 0.369 1
```